No. 1
Computed XRD peak list of KICl4O for Cu Kα, from DFT lattice parameters and positions (GGA-PBE).
Peak positions follow from Bragg's law for the DFT cell and can differ from measured ones.

Structural model:
a b c (Å): 4.815 13.731 13.187
angles (deg): 90.00 104.43 90.00
Atoms (fractional coordinates):
K1 0.154 0.162 0.430
K2 0.154 0.338 0.930
K3 0.846 0.662 0.070
K4 0.846 0.838 0.570
I1 0.303 0.056 0.796
I2 0.303 0.444 0.296
I3 0.697 0.556 0.704
I4 0.697 0.944 0.204
Cl1 0.072 0.604 0.316
Cl2 0.072 0.896 0.816
Cl3 0.219 0.108 0.963
Cl4 0.219 0.392 0.463
Cl5 0.369 0.002 0.613
Cl6 0.369 0.498 0.113
Cl7 0.482 0.721 0.725
Cl8 0.482 0.779 0.225
Cl9 0.518 0.221 0.775
Cl10 0.518 0.279 0.275
Cl11 0.631 0.502 0.887
Cl12 0.631 0.998 0.387
Cl13 0.781 0.608 0.537
Cl14 0.781 0.892 0.037
Cl15 0.928 0.104 0.184
Cl16 0.928 0.396 0.684
O1 0.282 0.715 0.960
O2 0.282 0.785 0.460
O3 0.718 0.215 0.540
O4 0.718 0.285 0.040

Largest 12 diffraction maxima, sorted by position, 10 to 90 degrees two-theta:
2θ = 12.89°, 6.866 Å, intensity 55.4
2θ = 13.87°, 6.386 Å, intensity 51.9
2θ = 14.65°, 6.047 Å, intensity 35.5
2θ = 18.99°, 4.674 Å, intensity 37.7
2θ = 19.66°, 4.515 Å, intensity 95.5
2θ = 21.86°, 4.066 Å, intensity 38.6
2θ = 22.81°, 3.899 Å, intensity 100.0
2θ = 25.45°, 3.500 Å, intensity 48.2
2θ = 26.32°, 3.386 Å, intensity 41.9
2θ = 27.30°, 3.267 Å, intensity 59.5
2θ = 32.51°, 2.754 Å, intensity 47.7
2θ = 35.75°, 2.512 Å, intensity 78.5

---

No. 2
Computed XRD peak list of Tm3Th for Cu Kα, from DFT lattice parameters and positions (GGA-PBE).
Peak positions follow from Bragg's law for the DFT cell and can differ from measured ones.

Structural model:
a b c (Å): 7.085 7.085 5.728
angles (deg): 90.00 90.00 120.00
Atoms (fractional coordinates):
Tm1 0.166 0.333 0.250
Tm2 0.166 0.834 0.250
Tm3 0.333 0.166 0.750
Tm4 0.667 0.834 0.250
Tm5 0.834 0.166 0.750
Tm6 0.834 0.667 0.750
Th1 0.333 0.667 0.750
Th2 0.667 0.333 0.250

Largest 12 diffraction maxima, sorted by position, 10 to 90 degrees two-theta:
2θ = 29.11°, 3.068 Å, intensity 23.3
2θ = 31.23°, 2.864 Å, intensity 25.9
2θ = 33.13°, 2.704 Å, intensity 100.0
2θ = 43.22°, 2.093 Å, intensity 16.2
2θ = 51.60°, 1.771 Å, intensity 19.4
2θ = 56.80°, 1.621 Å, intensity 21.9
2θ = 61.56°, 1.506 Å, intensity 22.9
2θ = 62.71°, 1.482 Å, intensity 16.3
2θ = 69.52°, 1.352 Å, intensity 4.0
2θ = 80.29°, 1.196 Å, intensity 8.2
2θ = 85.43°, 1.136 Å, intensity 14.2
2θ = 87.63°, 1.114 Å, intensity 9.0

---

No. 3
Computed XRD peak list of BaSrEuBiO6 for Cu Kα, from DFT lattice parameters and positions (GGA-PBE).
Peak positions follow from Bragg's law for the DFT cell and can differ from measured ones.

Structural model:
a b c (Å): 6.108 6.226 8.709
angles (deg): 90.15 90.19 90.12
Atoms (fractional coordinates):
Ba1 0.009 0.040 0.250
Ba2 0.991 0.960 0.750
Sr1 0.488 0.547 0.251
Sr2 0.512 0.453 0.749
Eu1 0.000 0.500 0.500
Eu2 0.500 0.000 0.000
Bi1 0.000 0.500 0.000
Bi2 0.500 0.000 0.500
O1 0.094 0.515 0.760
O2 0.202 0.779 0.044
O3 0.220 0.796 0.459
O4 0.285 0.304 0.049
O5 0.307 0.286 0.453
O6 0.426 0.037 0.741
O7 0.574 0.963 0.259
O8 0.693 0.714 0.547
O9 0.715 0.696 0.951
O10 0.780 0.204 0.541
O11 0.798 0.221 0.956
O12 0.906 0.485 0.240

Largest 12 diffraction maxima, sorted by position, 10 to 90 degrees two-theta:
2θ = 20.38°, 4.358 Å, intensity 22.6
2θ = 28.68°, 3.113 Å, intensity 31.8
2θ = 28.95°, 3.084 Å, intensity 100.0
2θ = 29.06°, 3.073 Å, intensity 32.5
2θ = 29.24°, 3.054 Å, intensity 32.1
2θ = 41.42°, 2.180 Å, intensity 32.4
2θ = 41.47°, 2.177 Å, intensity 17.8
2θ = 50.96°, 1.792 Å, intensity 17.8
2θ = 51.11°, 1.787 Å, intensity 13.4
2θ = 51.65°, 1.770 Å, intensity 30.1
2θ = 60.00°, 1.542 Å, intensity 14.7
2θ = 67.96°, 1.379 Å, intensity 10.6

---

No. 4
Computed XRD peak list of Cr12Fe3S20 for Cu Kα, from DFT lattice parameters and positions (GGA-PBE).
Peak positions follow from Bragg's law for the DFT cell and can differ from measured ones.

Structural model:
a b c (Å): 7.786 7.976 8.647
angles (deg): 78.54 75.72 88.62
Atoms (fractional coordinates):
Cr1 0.034 0.016 0.335
Cr2 0.157 0.177 0.867
Cr3 0.199 0.697 0.700
Cr4 0.240 0.218 0.537
Cr5 0.365 0.384 0.079
Cr6 0.441 0.422 0.731
Cr7 0.559 0.578 0.269
Cr8 0.635 0.616 0.921
Cr9 0.760 0.782 0.463
Cr10 0.801 0.303 0.300
Cr11 0.843 0.823 0.133
Cr12 0.966 0.984 0.665
Fe1 0.000 0.500 0.500
Fe2 0.408 0.909 0.909
Fe3 0.592 0.091 0.091
S1 0.025 0.742 0.302
S2 0.100 0.875 0.896
S3 0.105 0.324 0.309
S4 0.177 0.450 0.907
S5 0.227 0.948 0.494
S6 0.293 0.080 0.096
S7 0.300 0.523 0.503
S8 0.377 0.663 0.098
S9 0.424 0.142 0.703
S10 0.497 0.272 0.299
S11 0.503 0.728 0.701
S12 0.576 0.858 0.297
S13 0.623 0.337 0.902
S14 0.700 0.477 0.497
S15 0.707 0.920 0.904
S16 0.773 0.052 0.506
S17 0.823 0.550 0.093
S18 0.895 0.676 0.691
S19 0.900 0.125 0.104
S20 0.975 0.258 0.698

Largest 12 diffraction maxima, sorted by position, 10 to 90 degrees two-theta:
2θ = 16.12°, 5.500 Å, intensity 41.3
2θ = 17.82°, 4.977 Å, intensity 74.3
2θ = 31.74°, 2.819 Å, intensity 47.1
2θ = 35.44°, 2.533 Å, intensity 100.0
2θ = 36.10°, 2.488 Å, intensity 64.0
2θ = 37.02°, 2.428 Å, intensity 40.8
2θ = 45.55°, 1.992 Å, intensity 88.7
2θ = 46.67°, 1.946 Å, intensity 99.1
2θ = 46.91°, 1.937 Å, intensity 41.0
2θ = 48.44°, 1.879 Å, intensity 37.2
2θ = 56.00°, 1.642 Å, intensity 61.9
2θ = 56.81°, 1.621 Å, intensity 41.5

---

No. 5
Computed XRD peak list of MgMo2WSe2S4 for Cu Kα, from DFT lattice parameters and positions (GGA-PBE).
Peak positions follow from Bragg's law for the DFT cell and can differ from measured ones.

Structural model:
a b c (Å): 3.231 3.231 29.638
angles (deg): 90.00 90.00 60.00
Atoms (fractional coordinates):
Mg1 0.000 0.000 0.000
Mo1 0.656 0.656 0.269
Mo2 0.656 0.656 0.732
W1 0.323 0.323 0.501
Se1 0.656 0.656 0.443
Se2 0.656 0.656 0.559
S1 0.323 0.323 0.217
S2 0.323 0.323 0.322
S3 0.323 0.323 0.680
S4 0.323 0.323 0.784

Largest 12 diffraction maxima, sorted by position, 10 to 90 degrees two-theta:
2θ = 11.94°, 7.410 Å, intensity 100.0
2θ = 14.95°, 5.928 Å, intensity 14.9
2θ = 31.99°, 2.798 Å, intensity 14.9
2θ = 32.13°, 2.786 Å, intensity 13.4
2θ = 33.28°, 2.692 Å, intensity 7.8
2θ = 34.26°, 2.618 Å, intensity 8.0
2θ = 36.92°, 2.435 Å, intensity 33.4
2θ = 38.57°, 2.334 Å, intensity 37.1
2θ = 44.53°, 2.035 Å, intensity 18.2
2θ = 46.81°, 1.941 Å, intensity 26.5
2θ = 57.04°, 1.615 Å, intensity 23.1
2θ = 58.47°, 1.578 Å, intensity 9.8

---

No. 6
Computed XRD peak list of Lu3NbO7 for Cu Kα, from DFT lattice parameters and positions (GGA-PBE).
Peak positions follow from Bragg's law for the DFT cell and can differ from measured ones.

Structural model:
a b c (Å): 8.025 5.254 7.394
angles (deg): 90.00 117.31 90.00
Atoms (fractional coordinates):
Lu1 0.000 0.000 0.000
Lu2 0.000 0.000 0.500
Lu3 0.255 0.470 0.380
Lu4 0.255 0.530 0.880
Lu5 0.744 0.473 0.122
Lu6 0.744 0.527 0.622
Nb1 0.501 0.006 0.771
Nb2 0.501 0.994 0.271
O1 0.243 0.248 0.659
O2 0.243 0.752 0.159
O3 0.257 0.238 0.095
O4 0.257 0.762 0.595
O5 0.473 0.217 0.490
O6 0.473 0.783 0.990
O7 0.525 0.222 0.004
O8 0.525 0.778 0.504
O9 0.746 0.239 0.838
O10 0.746 0.761 0.338
O11 0.747 0.241 0.409
O12 0.747 0.759 0.909
O13 0.999 0.239 0.250
O14 0.999 0.761 0.750

Largest 12 diffraction maxima, sorted by position, 10 to 90 degrees two-theta:
2θ = 29.54°, 3.023 Å, intensity 100.0
2θ = 30.30°, 2.950 Å, intensity 96.8
2θ = 34.13°, 2.627 Å, intensity 21.6
2θ = 34.96°, 2.566 Å, intensity 44.7
2θ = 49.30°, 1.849 Å, intensity 15.8
2θ = 49.66°, 1.836 Å, intensity 61.1
2θ = 51.25°, 1.783 Å, intensity 15.6
2θ = 58.30°, 1.583 Å, intensity 13.4
2θ = 58.74°, 1.572 Å, intensity 13.2
2θ = 58.97°, 1.566 Å, intensity 28.6
2θ = 60.27°, 1.536 Å, intensity 26.6
2θ = 81.29°, 1.184 Å, intensity 10.3